Calculated powder XRD pattern of Pm2BeIr2 for Cu Kα (weighted mean of Kα1 and Kα2), from a structure optimized by DFT (GGA-PBE).
No peak broadening, texture or thermal motion is included.

Peak list (8 most intense, 2θ from 10° to 80°, sorted by position)
21.04 deg, I = 38
24.91 deg, I = 31
27.52 deg, I = 35
32.60 deg, I = 47
36.05 deg, I = 27
36.22 deg, I = 59
37.90 deg, I = 100
40.44 deg, I = 82

Atomic structure:
```
data_Pm2BeIr2
_symmetry_space_group_name_H-M 'C 1 2/c 1'
_symmetry_Int_Tables_number 15
_symmetry_space_group_name_Hall '-C 2yc'
_cell_length_a 10.147
_cell_length_b 5.566
_cell_length_c 7.313
_cell_angle_alpha 90.00
_cell_angle_beta 102.13
_cell_angle_gamma 90.00
loop_
_atom_site_label
_atom_site_type_symbol
_atom_site_fract_x
_atom_site_fract_y
_atom_site_fract_z
Pm1 Pm 0.148 0.131 0.149
Be1 Be 0.000 0.414 0.750
Ir1 Ir 0.127 0.372 0.511
```